Simulated powder XRD pattern
Compound: Sr2Mg3Cd12Ag
Radiation: Cu Ka
Structure: DFT lattice parameters and positions (PBE)
Lines closer than 0.1° are merged.

The 10 most intense peaks (2θ from 10° to 90°), in order of rising 2θ:
2θ (°), d_spacing, Rel. int.
14.54, 6.093, 24
17.94, 4.945, 28
28.75, 3.105, 24
30.13, 2.966, 26
31.98, 2.799, 100
36.33, 2.473, 82
39.33, 2.291, 43
46.51, 1.952, 18
54.02, 1.697, 37
72.59, 1.302, 18

Structure:
```
Sr2Mg3Cd12Ag
1.0
3.3949 1.9600 12.1861
-3.3949 1.9600 12.1861
0.0000 -3.9201 12.1861
Sr Mg Cd Ag
2 3 12 1
Direct
0.1412 0.1412 0.1412 Sr
0.8588 0.8588 0.8588 Sr
0.0000 0.5000 0.5000 Mg
0.5000 0.0000 0.5000 Mg
0.5000 0.5000 0.0000 Mg
0.0903 0.0903 0.6567 Cd
0.0903 0.6567 0.0903 Cd
0.1142 0.6070 0.6070 Cd
0.3433 0.9097 0.9097 Cd
0.3930 0.3930 0.8858 Cd
0.3930 0.8858 0.3930 Cd
0.6070 0.1143 0.6070 Cd
0.6070 0.6070 0.1142 Cd
0.6567 0.0903 0.0903 Cd
0.8858 0.3930 0.3930 Cd
0.9097 0.3433 0.9097 Cd
0.9097 0.9097 0.3433 Cd
0.5000 0.5000 0.5000 Ag
```